No. 1
Structure and calculated powder XRD pattern of La4NdDy7 (DFT lattice parameters and positions (PBE); Cu Ka).
Neutral-atom scattering factors, no anomalous dispersion.

Largest 8 diffraction maxima, sorted by position, 10° ≤ 2θ ≤ 90°:
30.19°, d = 2.960 Å, rel. 1000; 30.40°, d = 2.940 Å, rel. 326; 35.06°, d = 2.559 Å, rel. 672; 50.29°, d = 1.814 Å, rel. 243; 50.57°, d = 1.805 Å, rel. 237; 59.78°, d = 1.547 Å, rel. 144; 59.91°, d = 1.544 Å, rel. 285; 60.15°, d = 1.538 Å, rel. 140

Lattice parameters (Å, degrees): 3.6286 3.6286 35.2820 90.00 90.00 120.00
Positions (direct):
La (0.3333, 0.6667, 0.1669)
La (0.3333, 0.6667, 0.4162)
La (0.6667, 0.3333, 0.5838)
La (0.6667, 0.3333, 0.8331)
Nd (0.0000, 0.0000, 0.0000)
Dy (0.0000, 0.0000, 0.2513)
Dy (0.0000, 0.0000, 0.5000)
Dy (0.0000, 0.0000, 0.7487)
Dy (0.3333, 0.6667, 0.6682)
Dy (0.3333, 0.6667, 0.9174)
Dy (0.6667, 0.3333, 0.0826)
Dy (0.6667, 0.3333, 0.3318)


No. 2
Structure and calculated powder XRD pattern of La10Nd4Dy (DFT lattice parameters and positions (PBE); Cu Ka).
Neutral-atom scattering factors, no anomalous dispersion.

Largest 8 diffraction maxima, sorted by position, 10° ≤ 2θ ≤ 90°:
26.57°, d = 3.355 Å, rel. 272; 26.90°, d = 3.314 Å, rel. 1000; 29.45°, d = 3.033 Å, rel. 615; 32.68°, d = 2.740 Å, rel. 797; 35.91°, d = 2.501 Å, rel. 305; 51.68°, d = 1.769 Å, rel. 326; 51.87°, d = 1.763 Å, rel. 448; 70.42°, d = 1.337 Å, rel. 383

Lattice parameters (Å, degrees): 8.8788 8.8788 8.8788 106.61 106.61 115.35
Positions (direct):
La (0.0259, 0.0259, 0.7030)
La (0.0259, 0.3229, 0.0000)
La (0.2500, 0.7500, 0.5000)
La (0.3229, 0.0259, 0.0000)
La (0.3229, 0.3229, 0.2970)
La (0.6771, 0.6771, 0.7030)
La (0.6771, 0.9741, 0.0000)
La (0.7500, 0.2500, 0.5000)
La (0.9741, 0.6771, 0.0000)
La (0.9741, 0.9741, 0.2970)
Nd (0.2026, 0.5000, 0.7026)
Nd (0.5000, 0.2026, 0.7026)
Nd (0.5000, 0.7974, 0.2974)
Nd (0.7974, 0.5000, 0.2974)
Dy (0.5000, 0.5000, 0.0000)


No. 3
Structure and calculated powder XRD pattern of La8Nd5Dy (DFT lattice parameters and positions (PBE); Cu Ka).
Neutral-atom scattering factors, no anomalous dispersion.

Largest 8 diffraction maxima, sorted by position, 10° ≤ 2θ ≤ 90°:
27.34°, d = 3.262 Å, rel. 758; 28.22°, d = 3.162 Å, rel. 771; 28.33°, d = 3.150 Å, rel. 910; 30.70°, d = 2.912 Å, rel. 285; 32.82°, d = 2.729 Å, rel. 1000; 33.29°, d = 2.691 Å, rel. 535; 33.57°, d = 2.670 Å, rel. 582; 53.07°, d = 1.726 Å, rel. 362

Lattice parameters (Å, degrees): 8.7426 8.7426 8.7426 110.54 110.54 107.36
Positions (direct):
La (0.0751, 0.6824, 0.7676)
La (0.1727, 0.2741, 0.7621)
La (0.3176, 0.0852, 0.3927)
La (0.5120, 0.4106, 0.2379)
La (0.5894, 0.8273, 0.1014)
La (0.6926, 0.9249, 0.6073)
La (0.7259, 0.4880, 0.8986)
La (0.9148, 0.3074, 0.2324)
Nd (0.2231, 0.6203, 0.1924)
Nd (0.3797, 0.5720, 0.6027)
Nd (0.4280, 0.0307, 0.8076)
Nd (0.7500, 0.2500, 0.5000)
Nd (0.9693, 0.7769, 0.3973)
Dy (0.0000, 0.0000, 0.0000)


No. 4
Structure and calculated powder XRD pattern of La2Nd5Dy12 (DFT lattice parameters and positions (PBE); Cu Ka).
Neutral-atom scattering factors, no anomalous dispersion.

Largest 8 diffraction maxima, sorted by position, 10° ≤ 2θ ≤ 90°:
28.54°, d = 3.127 Å, rel. 346; 29.95°, d = 2.983 Å, rel. 240; 30.18°, d = 2.962 Å, rel. 296; 30.87°, d = 2.897 Å, rel. 774; 31.63°, d = 2.829 Å, rel. 1000; 31.97°, d = 2.800 Å, rel. 423; 33.52°, d = 2.673 Å, rel. 527; 55.87°, d = 1.646 Å, rel. 258

Lattice parameters (Å, degrees): 6.8628 6.8714 15.1524 87.52 80.09 64.66
Positions (direct):
La (0.2382, 0.0116, 0.0322)
La (0.7618, 0.9884, 0.9678)
Nd (0.0753, 0.5557, 0.3846)
Nd (0.2644, 0.5049, 0.9651)
Nd (0.5000, 0.5000, 0.5000)
Nd (0.7356, 0.4951, 0.0349)
Nd (0.9247, 0.4443, 0.6154)
Dy (0.0667, 0.2345, 0.8235)
Dy (0.1118, 0.0684, 0.4202)
Dy (0.1201, 0.7201, 0.7544)
Dy (0.3815, 0.9829, 0.6140)
Dy (0.4165, 0.2608, 0.1885)
Dy (0.4166, 0.7547, 0.2454)
Dy (0.5834, 0.2453, 0.7546)
Dy (0.5835, 0.7392, 0.8115)
Dy (0.6185, 0.0171, 0.3860)
Dy (0.8799, 0.2799, 0.2456)
Dy (0.8882, 0.9316, 0.5798)
Dy (0.9333, 0.7655, 0.1765)


No. 5
Structure and calculated powder XRD pattern of La3Nd3Dy4 (DFT lattice parameters and positions (PBE); Cu Ka).
Neutral-atom scattering factors, no anomalous dispersion.

Largest 8 diffraction maxima, sorted by position, 10° ≤ 2θ ≤ 90°:
28.84°, d = 3.095 Å, rel. 615; 30.37°, d = 2.943 Å, rel. 308; 31.75°, d = 2.819 Å, rel. 1000; 32.99°, d = 2.715 Å, rel. 185; 37.93°, d = 2.372 Å, rel. 202; 53.85°, d = 1.702 Å, rel. 203; 56.44°, d = 1.630 Å, rel. 181; 58.29°, d = 1.583 Å, rel. 170

Lattice parameters (Å, degrees): 3.6836 9.7884 9.7884 90.01 90.00 90.00
Positions (direct):
La (0.0000, 0.0000, 0.0000)
La (0.5000, 0.3270, 0.8244)
La (0.5000, 0.8244, 0.3270)
Nd (0.0000, 0.1510, 0.4998)
Nd (0.0000, 0.4998, 0.1510)
Nd (0.0000, 0.6500, 0.6500)
Dy (0.5000, 0.2042, 0.2042)
Dy (0.5000, 0.4471, 0.4471)
Dy (0.5000, 0.7009, 0.9454)
Dy (0.5000, 0.9454, 0.7009)


No. 6
Structure and calculated powder XRD pattern of LaNd3Dy7 (DFT lattice parameters and positions (PBE); Cu Ka).
Neutral-atom scattering factors, no anomalous dispersion.

Largest 8 diffraction maxima, sorted by position, 10° ≤ 2θ ≤ 90°:
31.13°, d = 2.873 Å, rel. 388; 31.34°, d = 2.854 Å, rel. 419; 31.48°, d = 2.842 Å, rel. 1000; 31.62°, d = 2.830 Å, rel. 746; 31.88°, d = 2.807 Å, rel. 227; 32.06°, d = 2.792 Å, rel. 794; 32.57°, d = 2.749 Å, rel. 792; 62.48°, d = 1.486 Å, rel. 316

Lattice parameters (Å, degrees): 7.0250 5.5838 10.0717 90.00 109.81 90.00
Positions (direct):
La (0.0000, 0.0000, 0.0000)
Nd (0.2822, 0.5000, 0.4989)
Nd (0.5000, 0.0000, 0.0000)
Nd (0.7178, 0.5000, 0.5011)
Dy (0.0000, 0.0000, 0.5000)
Dy (0.1436, 0.5000, 0.7880)
Dy (0.3230, 0.5000, 0.1395)
Dy (0.4192, 0.0000, 0.3304)
Dy (0.5808, 0.0000, 0.6696)
Dy (0.6770, 0.5000, 0.8605)
Dy (0.8564, 0.5000, 0.2120)